Structure and theoretical X-ray powder pattern of LaTmS2 (a crystal structure in the Materials Project, relaxed with PBE; Cu Kα (weighted mean of Kα1 and Kα2)).
Neutral-atom scattering factors, no anomalous dispersion.

Structure:
```
data_LaTmS2
_cell_length_a 3.9316
_cell_length_b 3.9316
_cell_length_c 20.2565
_cell_angle_alpha 90.00
_cell_angle_beta 90.00
_cell_angle_gamma 120.00
_space_group_name_H-M_alt 'R -3 m'
_space_group_IT_number 166
_space_group_name_Hall '-R 3 2"'
loop_
_atom_site_label
_atom_site_type_symbol
_atom_site_fract_x
_atom_site_fract_y
_atom_site_fract_z
_atom_site_occupancy
La1 La 0.0000 0.0000 0.0000 1
Tm1 Tm 0.0000 0.0000 0.5000 1
S1 S 0.0000 0.0000 0.2406 1
```

Largest 6 diffraction maxima, in order of rising 2θ, 2θ from 5° to 70°:
26.40 deg, 3.376 Å, I = 22.3, hkl 0 0 6; 27.64 deg, 3.227 Å, I = 57.9, hkl 0 1 2; 31.67 deg, 2.826 Å, I = 100.0, hkl 1 0 4; 44.60 deg, 2.032 Å, I = 37.1, hkl 0 1 8; 46.18 deg, 1.966 Å, I = 34.7, hkl 1 1 0; 53.98 deg, 1.699 Å, I = 20.0, hkl 1 1 6